No. 1
The following is a computed X-ray diffraction stick pattern of Mg3Sn. It was derived from a structure optimized by DFT (PBE), using Cu Kα, 1.54184 Å.
Intensities are scaled so that the largest is 100.

Atomic structure:
a b c (Å): 7.2076 7.2076 7.2076
angles (deg): 90.00 90.00 90.00
Fractional positions:
Mg: 0.0000 0.0000 0.0000
Mg: 0.0000 0.5000 0.5000
Mg: 0.2500 0.2500 0.2500
Mg: 0.2500 0.2500 0.7500
Mg: 0.2500 0.7500 0.2500
Mg: 0.2500 0.7500 0.7500
Mg: 0.5000 0.0000 0.5000
Mg: 0.5000 0.5000 0.0000
Mg: 0.7500 0.2500 0.2500
Mg: 0.7500 0.2500 0.7500
Mg: 0.7500 0.7500 0.2500
Mg: 0.7500 0.7500 0.7500
Sn: 0.0000 0.0000 0.5000
Sn: 0.0000 0.5000 0.0000
Sn: 0.5000 0.0000 0.0000
Sn: 0.5000 0.5000 0.5000

Principal peaks in the range 5 to 70 degrees two-theta, in order of falling intensity:
2θ = 35.2°, I 100; 2θ = 21.4°, I 53; 2θ = 63.2°, I 37; 2θ = 41.6°, I 30; 2θ = 24.7°, I 28; 2θ = 50.7°, I 18; 2θ = 55.6°, I 13; 2θ = 57.2°, I 12; 2θ = 67.5°, I 10; 2θ = 43.5°, I 9

No. 2
The following is a computed X-ray diffraction stick pattern of Mg5Sn. It was derived from a structure optimized by DFT (PBE), using Cu Kα, 1.54184 Å.
Intensities are scaled so that the largest is 100.

Atomic structure:
a b c (Å): 5.6541 5.6541 5.0802
angles (deg): 90.00 90.00 120.00
Fractional positions:
Mg: 0.0000 0.3352 0.0000
Mg: 0.3333 0.6667 0.5000
Mg: 0.3352 0.0000 0.0000
Mg: 0.6648 0.6648 0.0000
Mg: 0.6667 0.3333 0.5000
Sn: 0.0000 0.0000 0.5000

Principal peaks in the range 5 to 70 degrees two-theta, in order of falling intensity:
2θ = 36.4°, I 100; 2θ = 18.1°, I 50; 2θ = 25.3°, I 47; 2θ = 31.6°, I 33; 2θ = 35.3°, I 23; 2θ = 48.2°, I 21; 2θ = 68.3°, I 20; 2θ = 64.1°, I 19; 2θ = 17.5°, I 18; 2θ = 56.4°, I 18

No. 3
The following is a computed X-ray diffraction stick pattern of MgSn. It was derived from a structure optimized by DFT (PBE), using Cu Kα, 1.54184 Å.
Intensities are scaled so that the largest is 100.

Atomic structure:
a b c (Å): 3.3915 3.3915 14.7761
angles (deg): 90.00 90.00 120.00
Fractional positions:
Mg: 0.0000 0.0000 0.0000
Mg: 0.3333 0.6667 0.6667
Mg: 0.6667 0.3333 0.3333
Sn: 0.0000 0.0000 0.5000
Sn: 0.3333 0.6667 0.1667
Sn: 0.6667 0.3333 0.8333

Principal peaks in the range 5 to 70 degrees two-theta, in order of falling intensity:
2θ = 32.8°, I 100; 2θ = 39.2°, I 62; 2θ = 18.0°, I 59; 2θ = 31.0°, I 48; 2θ = 67.0°, I 26; 2θ = 36.5°, I 25; 2θ = 54.1°, I 25; 2θ = 43.4°, I 20; 2θ = 59.1°, I 19; 2θ = 57.5°, I 18